# TmSnTe4
Theoretical X-ray powder pattern, λ = 1.5418 Å (Cu Kα). Input: a DFT-relaxed cell (PBE, Alexandria).

Principal peaks in the range 2θ = 10–90°, in order of falling intensity:
2theta  Rel. int.
38.44  1000
28.82  849
17.53  526
16.49  495
29.84  445
33.34  409

```
data_TmSnTe4
_cell_length_a 10.7508
_cell_length_b 8.1752
_cell_length_c 10.1175
_cell_angle_alpha 90.00
_cell_angle_beta 90.00
_cell_angle_gamma 90.00
_space_group_name_H-M_alt 'C m c m'
_space_group_IT_number 63
_space_group_name_Hall '-C 2c 2'
loop_
_atom_site_label
_atom_site_type_symbol
_atom_site_fract_x
_atom_site_fract_y
_atom_site_fract_z
Tm1 Tm 0.0000 0.1157 0.2500
Sn1 Sn 0.0000 0.4375 0.7500
Te1 Te 0.0000 0.1801 0.5571
Te2 Te 0.2117 0.3685 0.2500
```

---

# CsPd2F5
Theoretical X-ray powder pattern, λ = 1.5418 Å (Cu Kα). Input: a DFT-relaxed cell (PBE, Alexandria).

Principal peaks in the range 2θ = 10–90°, in order of falling intensity:
2theta  Rel. int.
30.09  1000
27.37  901
48.62  783
27.74  782
26.79  599
31.28  520

```
data_CsPd2F5
_cell_length_a 6.6952
_cell_length_b 7.9284
_cell_length_c 10.9994
_cell_angle_alpha 90.00
_cell_angle_beta 90.00
_cell_angle_gamma 90.00
_space_group_name_H-M_alt 'I m m a'
_space_group_IT_number 74
_space_group_name_Hall '-I 2b 2'
loop_
_atom_site_label
_atom_site_type_symbol
_atom_site_fract_x
_atom_site_fract_y
_atom_site_fract_z
Cs1 Cs 0.0000 0.2500 0.1115
Pd1 Pd 0.0000 0.0000 0.5000
Pd2 Pd 0.2500 0.2500 0.7500
F1 F 0.0000 0.2500 0.4126
F2 F 0.2486 0.0715 0.6207
```

---

# Ag7HgPt3
Theoretical X-ray powder pattern, λ = 1.5418 Å (Cu Kα). Input: a DFT-relaxed cell (PBE, Alexandria).

Principal peaks in the range 2θ = 10–90°, in order of falling intensity:
2theta  Rel. int.
38.19  1000
44.48  650
38.51  320
77.70  240
64.50  208
64.95  200

```
data_Ag7HgPt3
_cell_length_a 5.7791
_cell_length_b 5.7791
_cell_length_c 7.0124
_cell_angle_alpha 90.00
_cell_angle_beta 90.00
_cell_angle_gamma 120.00
_space_group_name_H-M_alt 'P 3 m 1'
_space_group_IT_number 156
loop_
_space_group_symop_operation_xyz
'x,y,z'
'-y,x-y,z'
'-x+y,-x,z'
'-y,-x,z'
'-x+y,y,z'
'x,x-y,z'
loop_
_atom_site_label
_atom_site_type_symbol
_atom_site_fract_x
_atom_site_fract_y
_atom_site_fract_z
Ag1 Ag 0.0000 0.0000 0.0000
Ag2 Ag 0.3373 0.1687 0.3431
Ag3 Ag 0.5024 0.0048 0.9938
Hg1 Hg 0.3333 0.6667 0.3481
Pt1 Pt 0.1643 0.3286 0.6724
```